No. 1
The following is a theoretical XRD peak list of Nd3Pa. It was derived from a structure optimized by DFT (GGA-PBE), using Cu Kα X-rays.

```
data_Nd3Pa
_chemical_formula_sum 'Nd6 Pa2'
_cell_length_a 4.9998
_cell_length_b 4.9998
_cell_length_c 10.1811
_cell_angle_alpha 90.00
_cell_angle_beta 90.00
_cell_angle_gamma 90.00
_space_group_name_H-M_alt 'I 4/m m m'
_space_group_IT_number 139
_space_group_name_Hall '-I 4 2'
loop_
_atom_site_label
_atom_site_type_symbol
_atom_site_fract_x
_atom_site_fract_y
_atom_site_fract_z
Nd1 Nd 0.0000 0.0000 0.0000
Nd2 Nd 0.0000 0.5000 0.2500
Pa1 Pa 0.0000 0.0000 0.5000
```

Principal peaks in the range 10° ≤ 2θ ≤ 90°, sorted by position:
Position (°2θ)  d/Å  I/Imax  h k l
30.8  2.904  100  1 1 2
35.3  2.545  17  0 0 4
35.9  2.500  33  2 0 0
51.2  1.784  24  2 0 4
51.7  1.768  12  2 2 0
60.5  1.530  15  1 1 6
61.4  1.510  28  3 1 2
64.1  1.452  12  2 2 4
83.6  1.157  12  3 1 6
84.4  1.148  6  3 3 2

***

No. 2
The following is a theoretical XRD peak list of Nd5Pb4. It was derived from a structure optimized by DFT (GGA-PBE), using Cu Kα X-rays.

```
data_Nd5Pb4
_chemical_formula_sum 'Nd20 Pb16'
_cell_length_a 8.4257
_cell_length_b 16.2166
_cell_length_c 8.5756
_cell_angle_alpha 90.00
_cell_angle_beta 90.00
_cell_angle_gamma 90.00
_space_group_name_H-M_alt 'P n m a'
_space_group_IT_number 62
loop_
_space_group_symop_operation_xyz
'x,y,z'
'-x,-y,-z'
'-x+1/2,-y,z+1/2'
'x+1/2,y,-z+1/2'
'x+1/2,-y+1/2,-z+1/2'
'-x+1/2,y+1/2,z+1/2'
'-x,y+1/2,-z'
'x,-y+1/2,z'
loop_
_atom_site_label
_atom_site_type_symbol
_atom_site_fract_x
_atom_site_fract_y
_atom_site_fract_z
Nd1 Nd 0.0297 0.1008 0.1793
Nd2 Nd 0.1251 0.6190 0.3394
Nd3 Nd 0.2068 0.2500 0.5024
Pb1 Pb 0.0721 0.2500 0.8752
Pb2 Pb 0.1625 0.7500 0.6478
Pb3 Pb 0.2173 0.0433 0.5321
```

Principal peaks in the range 10° ≤ 2θ ≤ 90°, sorted by position:
Position (°2θ)  d/Å  I/Imax  h k l
28.6  3.120  100  1 3 2
28.8  3.098  45  2 3 1
29.7  3.005  39  2 0 2
30.3  2.948  37  0 4 2
31.3  2.854  31  1 5 1
32.4  2.765  59  2 4 1
33.1  2.703  33  0 6 0
33.6  2.670  96  3 0 1
34.0  2.634  30  3 1 1
43.5  2.078  28  1 5 3